This entry pairs a crystal structure of Tb12Ni6Sn with its calculated powder diffraction line list. Radiation: Cu Kα. Structure: the PBE geometry in OQMD.
Lines closer than 0.1° are merged.

Principal peaks in the range 10° ≤ 2θ ≤ 80°, most intense first:
d 2.598, I 100.0; d 3.073, I 43.0; d 2.806, I 39.1; d 1.577, I 35.1; d 1.667, I 34.2; d 1.906, I 20.1; d 1.375, I 17.4; d 2.430, I 14.8; d 1.620, I 13.5; d 2.291, I 9.9

Structure:
a b c (Å): 8.417 8.417 8.417
angles (deg): 109.47 109.47 109.47
Element x y z (fractional)
Tb 0.117 0.813 0.304
Tb 0.187 0.304 0.491
Tb 0.187 0.696 0.883
Tb 0.304 0.117 0.813
Tb 0.304 0.491 0.187
Tb 0.491 0.187 0.304
Tb 0.509 0.813 0.696
Tb 0.696 0.509 0.813
Tb 0.696 0.883 0.187
Tb 0.813 0.304 0.117
Tb 0.813 0.696 0.509
Tb 0.883 0.187 0.696
Ni 0.123 0.623 0.500
Ni 0.377 0.500 0.877
Ni 0.500 0.123 0.623
Ni 0.500 0.877 0.377
Ni 0.623 0.500 0.123
Ni 0.877 0.377 0.500
Sn 0.000 0.000 0.000